Entry 1:
Structure and simulated powder diffraction line list of Pu3Sn3Au8 (a PBE-relaxed structure; copper Kα).
Kinematic intensities with the Lorentz-polarization factor, no thermal factor.

```
data_Pu3Sn3Au8
_space_group_name_H-M_alt 'C 1 2/m 1'
_space_group_IT_number 12
_cell_length_a 14.7842
_cell_length_b 4.9081
_cell_length_c 10.9265
_cell_angle_alpha 90.00
_cell_angle_beta 129.75
_cell_angle_gamma 90.00
loop_
_space_group_symop_operation_xyz
'x,y,z'
'-x,-y,-z'
'-x,y,-z'
'x,-y,z'
'x+1/2,y+1/2,z'
'-x+1/2,-y+1/2,-z'
'-x+1/2,y+1/2,-z'
'x+1/2,-y+1/2,z'
loop_
_atom_site_label
_atom_site_type_symbol
_atom_site_fract_x
_atom_site_fract_y
_atom_site_fract_z
Pu1 Pu 0.0000 0.0000 0.0000
Pu2 Pu 0.0681 0.0000 0.7789
Sn1 Sn 0.0000 0.5000 0.5000
Sn2 Sn 0.0992 0.5000 0.2573
Au1 Au 0.1503 0.0000 0.5886
Au2 Au 0.1513 0.5000 0.0287
Au3 Au 0.2150 0.0000 0.3821
Au4 Au 0.2235 0.5000 0.8297
```

Peak list (10 most intense, 2θ = 10–90°, sorted by position)
(hkl), 2theta, Rel. int.
2 0 -4, 34.81, 30
5 1 -3, 36.11, 55
3 1 1, 36.55, 100
0 2 0, 36.62, 43
3 1 -4, 37.87, 29
2 2 -4, 51.41, 21
6 2 -3, 52.67, 11
5 3 -3, 65.60, 10
3 3 1, 65.89, 16
8 2 -7, 73.75, 17

Entry 2:
Structure and simulated powder diffraction line list of Al7Co2Cu (a PBE-relaxed structure; copper Kα).
Kinematic intensities with the Lorentz-polarization factor, no thermal factor.

```
data_Al7Co2Cu
_space_group_name_H-M_alt 'P 4/m n c'
_space_group_IT_number 128
_space_group_name_Hall '-P 4 2n'
_cell_length_a 6.2855
_cell_length_b 6.2855
_cell_length_c 14.6413
_cell_angle_alpha 90.00
_cell_angle_beta 90.00
_cell_angle_gamma 90.00
loop_
_atom_site_label
_atom_site_type_symbol
_atom_site_fract_x
_atom_site_fract_y
_atom_site_fract_z
Al1 Al 0.0000 0.0000 0.1119
Al2 Al 0.0946 0.2947 0.4077
Al3 Al 0.1487 0.6487 0.2500
Co1 Co 0.0882 0.7098 0.0000
Cu1 Cu 0.0000 0.0000 0.2915
```

Peak list (10 most intense, 2θ = 10–90°, sorted by position)
(hkl), 2theta, Rel. int.
0 0 2, 12.09, 34
1 0 3, 23.07, 51
1 1 2, 23.42, 44
2 1 4, 40.46, 92
2 2 2, 42.51, 25
2 1 5, 44.69, 100
3 1 0, 45.66, 76
3 1 1, 46.08, 53
2 1 6, 49.48, 27
5 0 5, 83.73, 30